Starting from a crystal structure in the Materials Project, relaxed with PBE, the powder XRD pattern of LiCeMg6 was computed for CuKα.

Atomic structure:
```
data_LiCeMg6
_space_group_name_H-M_alt 'P 1'
_space_group_IT_number 1
_cell_length_a 5.213
_cell_length_b 6.752
_cell_length_c 6.752
_cell_angle_alpha 60.24
_cell_angle_beta 90.00
_cell_angle_gamma 90.00
loop_
_space_group_symop_operation_xyz
'x,y,z'
loop_
_atom_site_label
_atom_site_type_symbol
_atom_site_fract_x
_atom_site_fract_y
_atom_site_fract_z
Li1 Li 0.000 0.000 0.000
Ce1 Ce 0.000 0.501 0.501
Mg1 Mg 0.000 0.525 0.993
Mg2 Mg 0.000 0.993 0.525
Mg3 Mg 0.500 0.158 0.683
Mg4 Mg 0.500 0.173 0.173
Mg5 Mg 0.500 0.674 0.674
Mg6 Mg 0.500 0.683 0.158
```

Most intense lines, 5° ≤ 2θ ≤ 70°, in order of falling intensity:
two_theta	Rel. int.
35.16	100
15.13	80
22.84	69
31.56	29
26.38	23
34.40	23
54.34	21
30.50	20
46.66	20
62.11	18